(1)
Theoretical powder diffractogram
Compound: TlCd5
Radiation: copper Kα
Structure: DFT lattice parameters and positions (GGA-PBE)

Top 8 peaks for 10° ≤ 2θ ≤ 80°, most intense first:
- 35.45 deg, intensity 100, hkl 3 1 0
- 38.54 deg, intensity 78, hkl 1 1 -2
- 31.92 deg, intensity 66, hkl 2 0 2
- 32.61 deg, intensity 59, hkl 4 0 -2
- 40.87 deg, intensity 32, hkl 6 0 0
- 57.00 deg, intensity 26, hkl 5 1 2
- 57.87 deg, intensity 20, hkl 7 1 -2
- 51.23 deg, intensity 17, hkl 2 0 -4

Crystal structure
Cell lengths 13.6476, 3.0910, 7.1338 Å; angles 90.00, 103.93, 90.00 degrees
Space group Cm (No. 8)
Symmetry-distinct sites (fractional):
Tl 0.0000 0.0000 0.0000 x2
Cd 0.0011 0.0000 0.5026 x2
Cd 0.1648 0.5000 0.3567 x2
Cd 0.1814 0.5000 0.8260 x2
Cd 0.3206 0.0000 0.1776 x2
Cd 0.3353 0.0000 0.6427 x2

(2)
Theoretical powder diffractogram
Compound: HfPdAu2
Radiation: copper Kα
Structure: DFT lattice parameters and positions (GGA-PBE)

Top 8 peaks for 10° ≤ 2θ ≤ 80°, most intense first:
- 40.54 deg, intensity 100, hkl 1 2 1
- 40.23 deg, intensity 65, hkl 1 0 2
- 37.29 deg, intensity 46, hkl 2 0 0
- 35.80 deg, intensity 33, hkl 0 2 1
- 76.36 deg, intensity 22, hkl 2 2 3
- 52.65 deg, intensity 22, hkl 2 2 1
- 69.45 deg, intensity 21, hkl 3 2 1
- 78.87 deg, intensity 19, hkl 1 4 2

Crystal structure
Cell lengths 4.8226, 5.7743, 5.0636 Å; angles 90.00, 90.00, 90.00 degrees
Space group Pmmn (No. 59, origin choice 2)
Symmetry-distinct sites (fractional):
Hf 0.2500 0.2500 0.1466 x2
Pd 0.2500 0.7500 0.1499 x2
Au 0.2500 0.5026 0.6595 x4

(3)
Theoretical powder diffractogram
Compound: Ba2In15Sn2
Radiation: copper Kα
Structure: DFT lattice parameters and positions (GGA-PBE)

Top 8 peaks for 10° ≤ 2θ ≤ 80°, most intense first:
- 32.81 deg, intensity 100, hkl 2 2 0
- 36.82 deg, intensity 44, hkl 2 2 3
- 33.38 deg, intensity 27, hkl 2 0 5
- 58.85 deg, intensity 23, hkl 0 3 9
- 33.00 deg, intensity 21, hkl 0 0 6
- 28.93 deg, intensity 21, hkl 0 2 4
- 28.28 deg, intensity 20, hkl 3 0 0
- 58.50 deg, intensity 15, hkl 6 0 0

Crystal structure
Cell lengths 10.9311, 10.9311, 16.2873 Å; angles 90.00, 90.00, 120.00 degrees
Space group R-3m (No. 166, hexagonal axes)
Symmetry-distinct sites (fractional):
Ba 0.0000 0.0000 0.1594 x6
In 0.0000 0.2943 0.5000 x18
In 0.0000 0.5000 0.0000 x9
In 0.0095 0.5048 0.6465 x18
Sn 0.0000 0.0000 0.4004 x6

(4)
Theoretical powder diffractogram
Compound: ScCd3Au2
Radiation: copper Kα
Structure: DFT lattice parameters and positions (GGA-PBE)

Top 8 peaks for 10° ≤ 2θ ≤ 80°, most intense first:
- 39.75 deg, intensity 100, hkl 1 3 1
- 35.28 deg, intensity 96, hkl 1 1 2
- 33.68 deg, intensity 76, hkl 1 0 2
- 41.74 deg, intensity 50, hkl 2 0 0
- 24.36 deg, intensity 40, hkl 0 2 1
- 22.95 deg, intensity 39, hkl 1 1 0
- 37.35 deg, intensity 37, hkl 1 3 0
- 45.42 deg, intensity 34, hkl 0 2 3

Crystal structure
Cell lengths 4.3284, 8.6927, 6.7450 Å; angles 90.00, 90.00, 90.00 degrees
Space group Pmc2_1 (No. 26)
Symmetry-distinct sites (fractional):
Sc 0.0000 0.0719 0.0000 x2
Cd 0.0000 0.2984 0.6073 x2
Cd 0.5000 0.2028 0.3104 x2
Cd 0.5000 0.4228 0.9031 x2
Au 0.0000 0.3821 0.1852 x2
Au 0.5000 0.1068 0.7250 x2

(5)
Theoretical powder diffractogram
Compound: La14YTm
Radiation: copper Kα
Structure: DFT lattice parameters and positions (GGA-PBE)

Top 8 peaks for 10° ≤ 2θ ≤ 80°, most intense first:
- 29.56 deg, intensity 100, hkl 2 0 2
- 34.33 deg, intensity 34, hkl 2 2 0
- 58.57 deg, intensity 29, hkl 4 2 2
- 49.18 deg, intensity 24, hkl 2 2 4
- 34.12 deg, intensity 17, hkl 0 0 4
- 58.30 deg, intensity 15, hkl 2 0 6
- 61.35 deg, intensity 12, hkl 4 0 4
- 49.34 deg, intensity 12, hkl 4 0 0

Crystal structure
Cell lengths 7.3881, 7.3881, 10.5101 Å; angles 90.00, 90.00, 90.00 degrees
Space group P4/mmm (No. 123)
Symmetry-distinct sites (fractional):
La 0.0000 0.0000 0.0000 x1
La 0.0000 0.5000 0.0000 x2
La 0.0000 0.5000 0.5000 x2
La 0.2488 0.2488 0.2515 x8
La 0.5000 0.5000 0.0000 x1
Y 0.5000 0.5000 0.5000 x1
Tm 0.0000 0.0000 0.5000 x1

(6)
Theoretical powder diffractogram
Compound: Hg2Bi4Rh
Radiation: copper Kα
Structure: DFT lattice parameters and positions (GGA-PBE)

Top 8 peaks for 10° ≤ 2θ ≤ 80°, most intense first:
- 33.44 deg, intensity 100, hkl 1 1 2
- 36.02 deg, intensity 97, hkl 1 1 -3
- 20.85 deg, intensity 52, hkl 0 1 1
- 38.40 deg, intensity 48, hkl 0 2 0
- 38.00 deg, intensity 47, hkl 2 0 -1
- 26.79 deg, intensity 44, hkl 1 1 0
- 26.19 deg, intensity 36, hkl 0 0 3
- 55.14 deg, intensity 34, hkl 2 2 -1

Crystal structure
Cell lengths 4.7619, 4.6879, 10.2920 Å; angles 90.00, 97.30, 90.00 degrees
Space group P2/m (No. 10)
Symmetry-distinct sites (fractional):
Hg 0.2212 0.0000 0.4148 x2
Bi 0.0551 0.5000 0.1621 x2
Bi 0.4197 0.0000 0.8370 x2
Rh 0.5000 0.5000 0.0000 x1

(7)
Theoretical powder diffractogram
Compound: La4Ho3Ga4
Radiation: copper Kα
Structure: DFT lattice parameters and positions (GGA-PBE)

Top 8 peaks for 10° ≤ 2θ ≤ 80°, most intense first:
- 32.35 deg, intensity 100, hkl 1 2 1
- 32.57 deg, intensity 85, hkl 0 3 3
- 33.19 deg, intensity 79, hkl 1 1 4
- 34.81 deg, intensity 76, hkl 1 0 5
- 48.95 deg, intensity 54, hkl 1 3 6
- 29.02 deg, intensity 51, hkl 1 0 3
- 25.58 deg, intensity 39, hkl 0 1 5
- 63.78 deg, intensity 39, hkl 1 2 11

Crystal structure
Cell lengths 3.5308, 9.1757, 18.8196 Å; angles 90.00, 90.00, 90.00 degrees
Space group Immm (No. 71)
Symmetry-distinct sites (fractional):
La 0.0000 0.1690 0.1661 x8
Ho 0.0000 0.0000 0.4095 x4
Ho 0.0000 0.5000 0.5000 x2
Ga 0.0000 0.2765 0.0000 x4
Ga 0.0000 0.5000 0.2174 x4

(8)
Theoretical powder diffractogram
Compound: SrLi3U4S12
Radiation: copper Kα
Structure: DFT lattice parameters and positions (GGA-PBE)

Top 8 peaks for 10° ≤ 2θ ≤ 80°, most intense first:
- 17.99 deg, intensity 100, hkl 2 0 0
- 25.55 deg, intensity 94, hkl 2 2 0
- 45.05 deg, intensity 64, hkl 4 2 2
- 40.94 deg, intensity 57, hkl 4 2 0
- 36.45 deg, intensity 32, hkl 4 0 0
- 71.63 deg, intensity 28, hkl 6 2 4
- 59.28 deg, intensity 22, hkl 6 2 0
- 55.96 deg, intensity 21, hkl 4 4 2

Crystal structure
Cell lengths 9.8592, 9.8592, 9.8592 Å; angles 90.00, 90.00, 90.00 degrees
Space group Im-3 (No. 204)
Symmetry-distinct sites (fractional):
Sr 0.0000 0.0000 0.0000 x2
Li 0.0000 0.0000 0.5000 x6
U 0.2500 0.2500 0.2500 x8
S 0.0000 0.3006 0.1733 x24